1.
Simulated powder XRD pattern of Tm2TiCo5Si2 for λ = 1.5418 Å (Cu Kα), from the GGA-PBE geometry in Alexandria.
Neutral-atom scattering factors, no anomalous dispersion.

Atomic structure:
abc: 9.2681 9.2681 3.3167
angles: 90.00 90.00 90.00
Space group P4/mbm (No. 127)
One atom of each set of equivalent atoms:
Tm 0.1763 0.3237 0.0000 (multiplicity 4)
Ti 0.0000 0.0000 0.0000 (multiplicity 2)
Co 0.0000 0.5000 0.5000 (multiplicity 2)
Co 0.0659 0.7867 0.5000 (multiplicity 8)
Si 0.1201 0.6201 0.0000 (multiplicity 4)

Largest 12 diffraction maxima, low angle first, 15° ≤ 2θ ≤ 90°:
2θ/deg, I_rel, h k l
19.2, 18, 2 0 0
21.4, 38, 2 1 0
33.2, 26, 2 0 1
34.6, 97, 2 1 1
38.6, 33, 2 2 1
40.1, 92, 4 1 0
41.1, 100, 3 1 1
41.3, 35, 3 3 0
44.6, 30, 3 2 1
55.4, 24, 0 0 2
70.6, 33, 4 1 2
71.1, 21, 5 4 1

2.
Simulated powder XRD pattern of Cu7Pt5 for λ = 1.5418 Å (Cu Kα), from the GGA-PBE geometry in Alexandria.
Neutral-atom scattering factors, no anomalous dispersion.

Atomic structure:
abc: 5.3348 3.8331 8.0008
angles: 90.00 91.26 90.00
Space group Pm (No. 6)
One atom of each set of equivalent atoms:
Cu 0.0000 0.0000 0.0000 (multiplicity 1)
Cu 0.9999 0.0000 0.3309 (multiplicity 1)
Cu 0.0048 0.0000 0.6683 (multiplicity 1)
Cu 0.2465 0.5000 0.1653 (multiplicity 1)
Cu 0.2508 0.5000 0.4980 (multiplicity 1)
Cu 0.4984 0.0000 0.9994 (multiplicity 1)
Cu 0.7529 0.5000 0.8341 (multiplicity 1)
Pt 0.2427 0.5000 0.8396 (multiplicity 1)
Pt 0.4875 0.0000 0.3275 (multiplicity 1)
Pt 0.5030 0.0000 0.6711 (multiplicity 1)
Pt 0.7570 0.5000 0.1563 (multiplicity 1)
Pt 0.7638 0.5000 0.5016 (multiplicity 1)

Largest 12 diffraction maxima, low angle first, 15° ≤ 2θ ≤ 90°:
2θ/deg, I_rel, h k l
20.2, 7, 1 0 1
41.2, 100, 2 1 0
47.4, 17, 0 2 0
47.7, 17, 2 0 -3
48.8, 15, 2 0 3
69.5, 10, 2 2 -3
70.4, 10, 2 2 3
70.7, 10, 4 0 0
84.0, 12, 2 3 0
84.4, 12, 4 1 -3
86.1, 11, 4 1 3
89.6, 11, 4 2 0

3.
Simulated powder XRD pattern of Mg2Al2Ag3 for λ = 1.5418 Å (Cu Kα), from the GGA-PBE geometry in Alexandria.
Neutral-atom scattering factors, no anomalous dispersion.

Atomic structure:
abc: 9.6267 4.1646 6.3458
angles: 90.00 98.55 90.00
Space group C2/m (No. 12)
One atom of each set of equivalent atoms:
Mg 0.0788 0.0000 0.2339 (multiplicity 4)
Al 0.1386 0.5000 0.9305 (multiplicity 4)
Ag 0.0000 0.5000 0.5000 (multiplicity 2)
Ag 0.2085 0.0000 0.6714 (multiplicity 4)

Largest 12 diffraction maxima, low angle first, 15° ≤ 2θ ≤ 90°:
2θ/deg, I_rel, h k l
28.1, 47, 1 1 1
31.7, 24, 2 0 -2
35.6, 28, 3 1 0
36.8, 100, 3 1 -1
38.2, 88, 1 1 2
42.6, 34, 4 0 1
43.5, 32, 0 2 0
44.7, 24, 2 0 -3
62.5, 21, 4 2 1
64.1, 16, 2 2 -3
73.2, 12, 7 1 0
76.2, 18, 1 3 2

4.
Simulated powder XRD pattern of InHg3Te4 for λ = 1.5418 Å (Cu Kα), from the GGA-PBE geometry in Alexandria.
Neutral-atom scattering factors, no anomalous dispersion.

Atomic structure:
abc: 4.7949 4.7949 46.1048
angles: 90.00 90.00 120.00
Space group R3m (No. 160, hexagonal axes)
One atom of each set of equivalent atoms:
In 0.0000 0.0000 0.0000 (multiplicity 3)
Hg 0.0000 0.0000 0.2499 (multiplicity 3)
Hg 0.0000 0.0000 0.5018 (multiplicity 3)
Hg 0.0000 0.0000 0.7543 (multiplicity 3)
Te 0.0000 0.0000 0.1875 (multiplicity 3)
Te 0.0000 0.0000 0.4384 (multiplicity 3)
Te 0.0000 0.0000 0.6885 (multiplicity 3)
Te 0.0000 0.0000 0.9371 (multiplicity 3)

Largest 12 diffraction maxima, low angle first, 15° ≤ 2θ ≤ 90°:
2θ/deg, I_rel, h k l
22.8, 100, 1 0 4
23.2, 36, 0 0 12
37.5, 56, 1 1 0
38.0, 53, 1 0 16
44.3, 17, 0 2 4
44.5, 38, 1 1 12
45.0, 14, 0 1 20
54.5, 19, 0 2 16
59.4, 15, 2 1 4
67.7, 10, 3 0 0
68.0, 19, 2 1 16
72.6, 9, 3 0 12